This entry pairs a crystal structure of FeO2 with its computed powder X-ray diffraction pattern. Radiation: λ = 1.5418 Å (Cu Kα). Structure: a structure optimized by DFT (GGA+U).
Kinematic intensities with the Lorentz-polarization factor, no thermal factor.

Main lines, low angle first (2θ from 10° to 90°):
2θ/deg  I (rel.)
19.37  100
35.20  16
37.63  27
41.16  39
54.87  21
61.10  12

Structural model:
Cell: 3.045 3.045 4.597 Å, 94.01 94.01 56.92°
Atoms (fractional coordinates):
Fe: 0.000 0.000 0.000
O: 0.339 0.339 0.787
O: 0.661 0.661 0.213